For Hg6S4IBr2Cl, the PBE geometry in Alexandria gives the theoretical XRD peak list in this record (Cu Kα, 1.54184 Å).
Peak positions follow from Bragg's law for the DFT cell and can differ from measured ones.

Peak list (8 most intense, 5 to 70 degrees two-theta, in order of rising 2θ)
- 9.41°, rel. 54
- 20.70°, rel. 32
- 28.16°, rel. 87
- 28.49°, rel. 51
- 32.73°, rel. 100
- 37.30°, rel. 36
- 38.29°, rel. 33
- 47.59°, rel. 24

Atomic structure:
```
data_Hg6S4IBr2Cl
_cell_length_a 13.323
_cell_length_b 9.642
_cell_length_c 13.270
_cell_angle_alpha 90.00
_cell_angle_beta 90.00
_cell_angle_gamma 90.00
_space_group_name_H-M_alt 'P n m a'
_space_group_IT_number 62
_space_group_name_Hall '-P 2ac 2n'
loop_
_atom_site_label
_atom_site_type_symbol
_atom_site_fract_x
_atom_site_fract_y
_atom_site_fract_z
Hg1 Hg 0.019 0.250 0.201
Hg2 Hg 0.123 0.008 0.646
Hg3 Hg 0.150 0.511 0.373
Hg4 Hg 0.194 0.750 0.019
S1 S 0.022 0.501 0.241
S2 S 0.242 0.000 0.022
I1 I 0.007 0.750 0.494
Br1 Br 0.226 0.750 0.772
Br2 Br 0.240 0.250 0.760
Cl1 Cl 0.002 0.250 0.001
```